Simulated X-ray diffraction stick pattern of Na2SrV4O12 for Cu Ka, from a GGA+U-relaxed structure.

Peak list (12 most intense, 5 to 70 degrees two-theta, in order of rising 2θ)
| index | 2theta | I/Imax |
| --- | --- | --- |
| 0 0 1 | 17.45 | 13 |
| 1 1 1 | 21.02 | 47 |
| 2 2 0 | 23.40 | 13 |
| 3 1 0 | 26.21 | 15 |
| 2 2 1 | 29.34 | 100 |
| 4 0 0 | 33.34 | 20 |
| 3 2 1 | 34.89 | 14 |
| 3 1 2 | 44.51 | 14 |
| 5 1 1 | 46.64 | 14 |
| 4 4 0 | 47.86 | 12 |
| 4 0 2 | 49.36 | 22 |
| 6 2 1 | 57.14 | 17 |

Structure:
Cell: 10.751 10.751 5.083 Å, 90.00 90.00 90.00°
Space group P4/nbm (No. 125, origin choice 2)
Symmetry-distinct sites (fractional):
Na1 0.000 0.000 0.000 (multiplicity 4)
Sr1 0.250 0.250 0.000 (multiplicity 2)
V1 0.032 0.750 0.500 (multiplicity 8)
O1 0.054 0.183 0.263 (multiplicity 16)
O2 0.132 0.632 0.651 (multiplicity 8)